The following is a simulated X-ray powder pattern of La4In2Ru. It was derived from a cell relaxed with GGA-PBE, using Cu Kα (λ = 1.5418 Å).

Largest 12 diffraction maxima, by angle, 2θ from 15° to 90°:
3.558 Å, rel. 417, (0 2 0); 3.170 Å, rel. 441, (1 2 0); 3.130 Å, rel. 462, (1 2 -1); 2.985 Å, rel. 1000, (2 1 -2); 2.850 Å, rel. 765, (2 0 1); 2.799 Å, rel. 908, (1 2 1); 2.718 Å, rel. 568, (1 2 -2); 2.691 Å, rel. 683, (0 0 3); 2.670 Å, rel. 514, (0 2 2); 2.573 Å, rel. 582, (2 2 -1); 2.517 Å, rel. 382, (0 1 3); 1.779 Å, rel. 478, (0 4 0)

Structure:
Lattice parameters (Å, degrees): 7.4751 7.1164 8.6515 90.00 111.08 90.00
Space group P2_1/m (No. 11)
Inequivalent atoms, fractional coordinates:
La (0.1303, 0.0166, 0.3073)
La (0.2935, 0.2500, 0.9251)
La (0.3250, 0.7500, 0.6724)
In (0.2191, 0.7500, 0.0135)
In (0.4789, 0.2500, 0.6235)
Ru (0.0988, 0.2500, 0.6074)


The following is a simulated X-ray powder pattern of Sc3Co5B2. It was derived from a cell relaxed with GGA-PBE, using Cu Kα (λ = 1.5418 Å).

Largest 12 diffraction maxima, by angle, 2θ from 15° to 90°:
2.993 Å, rel. 207, (0 0 1); 2.486 Å, rel. 187, (3 2 0); 2.398 Å, rel. 646, (2 1 1); 2.174 Å, rel. 1000, (4 1 0); 2.058 Å, rel. 767, (3 1 1); 2.004 Å, rel. 456, (4 2 0); 1.912 Å, rel. 338, (3 2 1); 1.793 Å, rel. 181, (4 0 1); 1.497 Å, rel. 186, (0 0 2); 1.336 Å, rel. 212, (6 0 1); 1.268 Å, rel. 222, (5 4 1); 1.233 Å, rel. 173, (4 1 2)

Structure:
Lattice parameters (Å, degrees): 8.9607 8.9607 2.9931 90.00 90.00 90.00
Space group P4/mbm (No. 127)
Inequivalent atoms, fractional coordinates:
Sc (0.0000, 0.0000, 0.0000)
Sc (0.1754, 0.3246, 0.0000)
Co (0.0000, 0.5000, 0.5000)
Co (0.0700, 0.7689, 0.5000)
B (0.1196, 0.6196, 0.0000)


The following is a simulated X-ray powder pattern of AcEuIr2. It was derived from a cell relaxed with GGA-PBE, using Cu Kα (λ = 1.5418 Å).

Largest 12 diffraction maxima, by angle, 2θ from 15° to 90°:
3.263 Å, rel. 27, (1 0 1); 2.629 Å, rel. 570, (1 1 0); 2.512 Å, rel. 1000, (1 0 2); 1.859 Å, rel. 208, (2 0 0); 1.718 Å, rel. 10, (1 1 3); 1.703 Å, rel. 77, (0 0 4); 1.494 Å, rel. 410, (2 1 2); 1.429 Å, rel. 174, (1 1 4); 1.314 Å, rel. 68, (2 2 0); 1.256 Å, rel. 114, (2 0 4); 1.176 Å, rel. 96, (3 1 0); 1.164 Å, rel. 93, (3 0 2)

Structure:
Lattice parameters (Å, degrees): 3.7173 3.7173 6.8133 90.00 90.00 90.00
Space group P4/mmm (No. 123)
Inequivalent atoms, fractional coordinates:
Ac (0.0000, 0.0000, 0.0000)
Eu (0.0000, 0.0000, 0.5000)
Ir (0.5000, 0.5000, 0.2584)


The following is a simulated X-ray powder pattern of TaMoIrPt. It was derived from a cell relaxed with GGA-PBE, using Cu Kα (λ = 1.5418 Å).

Largest 12 diffraction maxima, by angle, 2θ from 15° to 90°:
3.954 Å, rel. 30, (1 0 0); 2.294 Å, rel. 1000, (1 1 1); 2.006 Å, rel. 168, (0 0 2); 1.980 Å, rel. 162, (0 2 0); 1.974 Å, rel. 160, (2 0 0); 1.409 Å, rel. 108, (0 2 2); 1.407 Å, rel. 107, (2 0 2); 1.398 Å, rel. 105, (2 2 0); 1.207 Å, rel. 131, (1 1 3); 1.195 Å, rel. 128, (1 3 1); 1.192 Å, rel. 127, (3 1 1); 1.147 Å, rel. 114, (2 2 2)

Structure:
Lattice parameters (Å, degrees): 3.9480 3.9599 4.0128 90.00 90.00 90.00
Space group Pmmm (No. 47)
Inequivalent atoms, fractional coordinates:
Ta (0.0000, 0.0000, 0.0000)
Mo (0.5000, 0.5000, 0.0000)
Ir (0.5000, 0.0000, 0.5000)
Pt (0.0000, 0.5000, 0.5000)


The following is a simulated X-ray powder pattern of Ho4Ni2N. It was derived from a cell relaxed with GGA-PBE, using Cu Kα (λ = 1.5418 Å).

Largest 12 diffraction maxima, by angle, 2θ from 15° to 90°:
3.231 Å, rel. 199, (1 0 3); 2.953 Å, rel. 1000, (1 1 2); 2.353 Å, rel. 467, (1 1 4); 2.334 Å, rel. 284, (1 0 5); 2.323 Å, rel. 597, (2 0 0); 2.249 Å, rel. 156, (0 0 6); 1.646 Å, rel. 190, (2 1 5); 1.642 Å, rel. 203, (2 2 0); 1.616 Å, rel. 224, (2 0 6); 1.500 Å, rel. 124, (1 1 8); 1.435 Å, rel. 232, (3 1 2); 1.347 Å, rel. 157, (3 1 4)

Structure:
Lattice parameters (Å, degrees): 4.6456 4.6456 13.4937 90.00 90.00 90.00
Space group I4/mmm (No. 139)
Inequivalent atoms, fractional coordinates:
Ho (0.0000, 0.0000, 0.1820)
Ho (0.0000, 0.5000, 0.0000)
Ni (0.0000, 0.0000, 0.3768)
N (0.0000, 0.0000, 0.0000)


The following is a simulated X-ray powder pattern of BaCdInAu2. It was derived from a cell relaxed with GGA-PBE, using Cu Kα (λ = 1.5418 Å).

Largest 12 diffraction maxima, by angle, 2θ from 15° to 90°:
4.332 Å, rel. 409, (1 0 1); 3.260 Å, rel. 316, (1 1 0); 3.114 Å, rel. 729, (1 0 3); 2.898 Å, rel. 1000, (1 1 2); 2.305 Å, rel. 828, (2 0 0); 2.271 Å, rel. 624, (1 1 4); 2.220 Å, rel. 648, (1 0 5); 1.853 Å, rel. 332, (2 1 3); 1.630 Å, rel. 281, (2 2 0); 1.599 Å, rel. 468, (2 1 5); 1.421 Å, rel. 221, (3 1 2); 1.324 Å, rel. 221, (3 1 4)

Structure:
Lattice parameters (Å, degrees): 4.6098 4.6098 12.6682 90.00 90.00 90.00
Space group I-4m2 (No. 119)
Inequivalent atoms, fractional coordinates:
Ba (0.0000, 0.0000, 0.0000)
Cd (0.0000, 0.5000, 0.2500)
In (0.0000, 0.5000, 0.7500)
Au (0.0000, 0.0000, 0.3882)


The following is a simulated X-ray powder pattern of Sm2Er6Mg. It was derived from a cell relaxed with GGA-PBE, using Cu Kα (λ = 1.5418 Å).

Largest 12 diffraction maxima, by angle, 2θ from 15° to 90°:
2.864 Å, rel. 1000, (3 0 1); 2.500 Å, rel. 172, (0 0 2); 2.470 Å, rel. 333, (3 3 0); 1.757 Å, rel. 240, (3 3 2); 1.747 Å, rel. 118, (6 0 0); 1.504 Å, rel. 144, (3 0 3); 1.491 Å, rel. 280, (6 3 1); 1.432 Å, rel. 122, (6 0 2); 1.140 Å, rel. 119, (6 3 3); 1.134 Å, rel. 59, (9 0 1); 1.115 Å, rel. 56, (3 3 4); 1.107 Å, rel. 55, (6 6 2)

Structure:
Lattice parameters (Å, degrees): 10.4814 10.4814 4.9997 90.00 90.00 90.00
Space group P4_2/mnm (No. 136)
Inequivalent atoms, fractional coordinates:
Sm (0.1649, 0.1649, 0.0000)
Er (0.0008, 0.6657, 0.5000)
Er (0.1682, 0.8318, 0.0000)
Mg (0.0000, 0.0000, 0.5000)


The following is a simulated X-ray powder pattern of CsYCl3. It was derived from a cell relaxed with GGA-PBE, using Cu Kα (λ = 1.5418 Å).

Largest 12 diffraction maxima, by angle, 2θ from 15° to 90°:
5.502 Å, rel. 358, (0 1 1); 5.189 Å, rel. 253, (1 0 -1); 4.197 Å, rel. 1000, (1 1 -1); 3.955 Å, rel. 319, (1 0 1); 3.695 Å, rel. 414, (0 1 2); 3.569 Å, rel. 376, (0 2 0); 3.459 Å, rel. 226, (1 1 -2); 2.751 Å, rel. 628, (0 2 2); 2.720 Å, rel. 583, (2 0 -1); 2.650 Å, rel. 896, (1 2 1); 2.242 Å, rel. 309, (1 0 -4); 2.163 Å, rel. 392, (2 2 -1)

Structure:
Lattice parameters (Å, degrees): 5.4403 7.1382 9.0460 90.00 107.29 90.00
Space group P2_1/m (No. 11)
Inequivalent atoms, fractional coordinates:
Cs (0.1971, 0.2500, 0.3989)
Y (0.4980, 0.2500, 0.9958)
Cl (0.0016, 0.7500, 0.0037)
Cl (0.3767, 0.5041, 0.7499)


The following is a simulated X-ray powder pattern of NdYZnCu. It was derived from a cell relaxed with GGA-PBE, using Cu Kα (λ = 1.5418 Å).

Largest 12 diffraction maxima, by angle, 2θ from 15° to 90°:
4.145 Å, rel. 46, (1 1 1); 3.589 Å, rel. 79, (2 0 0); 2.538 Å, rel. 1000, (2 2 0); 2.165 Å, rel. 26, (3 1 1); 2.072 Å, rel. 23, (2 2 2); 1.795 Å, rel. 173, (4 0 0); 1.647 Å, rel. 12, (3 3 1); 1.605 Å, rel. 33, (4 2 0); 1.465 Å, rel. 347, (4 2 2); 1.269 Å, rel. 105, (4 4 0); 1.196 Å, rel. 17, (6 0 0); 1.135 Å, rel. 149, (6 2 0)

Structure:
Lattice parameters (Å, degrees): 7.1789 7.1789 7.1789 90.00 90.00 90.00
Space group F-43m (No. 216)
Inequivalent atoms, fractional coordinates:
Nd (0.0000, 0.0000, 0.0000)
Y (0.0000, 0.0000, 0.5000)
Zn (0.2500, 0.2500, 0.2500)
Cu (0.2500, 0.2500, 0.7500)


The following is a simulated X-ray powder pattern of CeYZr2N4. It was derived from a cell relaxed with GGA-PBE, using Cu Kα (λ = 1.5418 Å).

Largest 12 diffraction maxima, by angle, 2θ from 15° to 90°:
4.792 Å, rel. 17, (0 0 2); 4.287 Å, rel. 45, (1 0 1); 3.389 Å, rel. 15, (1 1 0); 2.767 Å, rel. 1000, (1 1 2); 2.658 Å, rel. 16, (1 0 3); 2.396 Å, rel. 843, (2 0 0); 2.092 Å, rel. 15, (2 1 1); 1.695 Å, rel. 552, (2 2 0); 1.445 Å, rel. 429, (1 1 6); 1.384 Å, rel. 180, (2 2 4); 1.198 Å, rel. 83, (4 0 0); 1.100 Å, rel. 185, (3 1 6)

Structure:
Lattice parameters (Å, degrees): 4.7935 4.7935 9.5831 90.00 90.00 90.00
Space group I-4m2 (No. 119)
Inequivalent atoms, fractional coordinates:
Ce (0.0000, 0.0000, 0.0000)
Y (0.0000, 0.5000, 0.2500)
Zr (0.0000, 0.0000, 0.5000)
Zr (0.0000, 0.5000, 0.7500)
N (0.0000, 0.0000, 0.2559)
N (0.0000, 0.5000, 0.5062)


The following is a simulated X-ray powder pattern of Ac5Sm4. It was derived from a cell relaxed with GGA-PBE, using Cu Kα (λ = 1.5418 Å).

Largest 12 diffraction maxima, by angle, 2θ from 15° to 90°:
3.131 Å, rel. 1000, (1 0 3); 2.725 Å, rel. 348, (1 3 0); 2.686 Å, rel. 164, (0 0 6); 1.931 Å, rel. 65, (2 0 0); 1.922 Å, rel. 65, (0 6 0); 1.913 Å, rel. 247, (1 3 6); 1.643 Å, rel. 156, (2 3 3); 1.639 Å, rel. 155, (1 6 3); 1.624 Å, rel. 143, (1 0 9); 1.568 Å, rel. 66, (2 0 6); 1.563 Å, rel. 65, (0 6 6); 1.242 Å, rel. 60, (2 3 9)

Structure:
Lattice parameters (Å, degrees): 3.8619 11.5345 16.1141 90.00 90.00 90.00
Space group Immm (No. 71)
Inequivalent atoms, fractional coordinates:
Ac (0.0000, 0.0000, 0.0000)
Ac (0.0000, 0.0000, 0.3254)
Ac (0.0000, 0.3302, 0.0000)
Sm (0.0000, 0.3303, 0.3318)


The following is a simulated X-ray powder pattern of Na2Sr5Ca4. It was derived from a cell relaxed with GGA-PBE, using Cu Kα (λ = 1.5418 Å).

Largest 12 diffraction maxima, by angle, 2θ from 15° to 90°:
5.119 Å, rel. 177, (1 4 0); 4.703 Å, rel. 131, (2 2 0); 3.454 Å, rel. 212, (0 4 1); 3.382 Å, rel. 191, (3 1 0); 3.276 Å, rel. 1000, (1 4 1); 3.205 Å, rel. 258, (1 7 0); 3.156 Å, rel. 534, (2 2 1); 3.122 Å, rel. 201, (2 6 0); 3.024 Å, rel. 392, (2 3 1); 2.129 Å, rel. 167, (0 0 2); 2.025 Å, rel. 167, (1 10 1); 1.687 Å, rel. 118, (0 14 0)

Structure:
Lattice parameters (Å, degrees): 10.2529 23.6219 4.2582 90.00 90.00 90.00
Space group Pbam (No. 55)
Inequivalent atoms, fractional coordinates:
Na (0.0387, 0.1921, 0.0000)
Sr (0.0000, 0.5000, 0.5000)
Sr (0.1312, 0.0693, 0.5000)
Sr (0.2443, 0.2827, 0.5000)
Ca (0.0706, 0.6485, 0.0000)
Ca (0.2119, 0.9273, 0.0000)


The following is a simulated X-ray powder pattern of AcBeCo2H8. It was derived from a cell relaxed with GGA-PBE, using Cu Kα (λ = 1.5418 Å).

Largest 12 diffraction maxima, by angle, 2θ from 15° to 90°:
3.676 Å, rel. 1000, (1 0 1); 3.450 Å, rel. 209, (0 1 2); 2.887 Å, rel. 230, (0 0 6); 2.840 Å, rel. 485, (1 0 4); 2.548 Å, rel. 652, (0 1 5); 2.172 Å, rel. 454, (1 1 0); 1.870 Å, rel. 156, (0 2 1); 1.736 Å, rel. 312, (1 1 6); 1.653 Å, rel. 178, (2 0 5); 1.573 Å, rel. 157, (1 0 10); 1.417 Å, rel. 127, (3 -1 1); 1.315 Å, rel. 163, (1 2 5)

Structure:
Lattice parameters (Å, degrees): 4.3435 4.3435 17.3225 90.00 90.00 120.00
Space group R-3 (No. 148, hexagonal axes)
Inequivalent atoms, fractional coordinates:
Ac (0.0000, 0.0000, 0.0000)
Be (0.0000, 0.0000, 0.5000)
Co (0.0000, 0.0000, 0.1943)
H (0.0000, 0.0000, 0.2895)
H (0.0154, 0.3014, 0.1242)


The following is a simulated X-ray powder pattern of Pm2Ho3Al. It was derived from a cell relaxed with GGA-PBE, using Cu Kα (λ = 1.5418 Å).

Largest 12 diffraction maxima, by angle, 2θ from 15° to 90°:
2.822 Å, rel. 1000, (1 3 1); 2.497 Å, rel. 173, (0 6 0); 2.430 Å, rel. 167, (0 0 2); 2.408 Å, rel. 163, (2 0 0); 1.742 Å, rel. 117, (0 6 2); 1.733 Å, rel. 115, (2 6 0); 1.711 Å, rel. 115, (2 0 2); 1.497 Å, rel. 140, (1 9 1); 1.468 Å, rel. 138, (1 3 3); 1.458 Å, rel. 135, (3 3 1); 1.411 Å, rel. 117, (2 6 2); 1.112 Å, rel. 58, (3 3 3)

Structure:
Lattice parameters (Å, degrees): 4.8160 14.9801 4.8610 90.00 90.00 90.00
Space group Cmmm (No. 65)
Inequivalent atoms, fractional coordinates:
Pm (0.0000, 0.1592, 0.0000)
Ho (0.0000, 0.0000, 0.5000)
Ho (0.0000, 0.3381, 0.5000)
Al (0.0000, 0.5000, 0.0000)